Diffraction record for AlTe2Cl4. The XRD peak list is simulated, not measured: it uses a PBE-relaxed structure and Cu Kα (λ = 1.5418 Å).
Peak positions follow from Bragg's law for the DFT cell and can differ from measured ones.

The 10 most intense peaks (10 to 90 degrees two-theta), low angle first:
| 2θ (°) | Rel. int. | h k l |
| --- | --- | --- |
| 12.05 | 100 | 1 1 1 |
| 12.59 | 32 | 0 2 0 |
| 14.91 | 23 | 2 0 0 |
| 16.21 | 42 | 2 1 0 |
| 21.58 | 27 | 1 3 1 |
| 24.18 | 33 | 2 3 0 |
| 30.39 | 21 | 2 4 1 |
| 31.80 | 19 | 3 1 3 |
| 32.88 | 25 | 3 3 2 |
| 35.32 | 18 | 1 3 4 |

Structural model:
Cell: 11.887 14.062 12.507 Å, 90.00 90.00 90.00°
Space group Pbca (No. 61)
Unique sites:
Al: 0.100 0.148 0.097 (multiplicity 8)
Te: 0.012 0.062 0.636 (multiplicity 8)
Te: 0.115 0.082 0.444 (multiplicity 8)
Cl: 0.067 0.680 0.350 (multiplicity 8)
Cl: 0.112 0.114 0.931 (multiplicity 8)
Cl: 0.171 0.032 0.193 (multiplicity 8)
Cl: 0.206 0.228 0.629 (multiplicity 8)